Theoretical powder diffraction line list
Compound: KRbAgBi
Radiation: Cu Kα X-rays
Structure: a DFT-relaxed cell (PBE, OQMD)

Largest 12 diffraction maxima, low angle first, 10 to 80 degrees two-theta:
2θ = 16.0°, 5.528 Å, rel. 66; 2θ = 18.8°, 4.729 Å, rel. 69; 2θ = 26.4°, 3.371 Å, rel. 17; 2θ = 29.7°, 3.013 Å, rel. 100; 2θ = 29.8°, 2.998 Å, rel. 30; 2θ = 33.2°, 2.697 Å, rel. 24; 2θ = 34.3°, 2.616 Å, rel. 48; 2θ = 35.9°, 2.502 Å, rel. 24; 2θ = 38.1°, 2.364 Å, rel. 42; 2θ = 47.9°, 1.900 Å, rel. 23; 2θ = 48.8°, 1.865 Å, rel. 25; 2θ = 61.6°, 1.506 Å, rel. 17

Structure:
Unit cell a=6.716 b=11.056 c=8.342 alpha=90.00 beta=90.00 gamma=90.00
Positions (direct):
K  0.000  0.171  0.000
K  0.000  0.329  0.500
K  0.000  0.671  0.500
K  0.000  0.829  0.000
Rb  0.500  0.172  0.674
Rb  0.500  0.328  0.174
Rb  0.500  0.672  0.174
Rb  0.500  0.828  0.674
Ag  0.244  0.000  0.332
Ag  0.244  0.500  0.832
Ag  0.756  0.000  0.332
Ag  0.756  0.500  0.832
Bi  0.000  0.000  0.607
Bi  0.000  0.500  0.107
Bi  0.500  0.000  0.065
Bi  0.500  0.500  0.565